Diffraction record for Ac4HgBi3. The powder X-ray diffraction pattern is calculated, not measured: it uses DFT lattice parameters and positions (GGA-PBE) and Cu Kα (weighted mean of Kα1 and Kα2).
No peak broadening, texture or thermal motion is included.

a b c (Å): 6.8669 6.8669 6.8669
angles (deg): 90.00 90.00 90.00
Element x y z (fractional)
Ac 0.0000 0.0000 0.0000
Ac 0.0000 0.5000 0.5000
Ac 0.5000 0.0000 0.5000
Ac 0.5000 0.5000 0.0000
Hg 0.5000 0.5000 0.5000
Bi 0.0000 0.0000 0.5000
Bi 0.0000 0.5000 0.0000
Bi 0.5000 0.0000 0.0000

The 8 most intense peaks (10 to 90 degrees two-theta), in order of rising 2θ:
hkl 2 0 0, 26.0 deg, intensity 100; hkl 2 2 0, 37.0 deg, intensity 81; hkl 2 2 2, 45.8 deg, intensity 30; hkl 4 0 0, 53.4 deg, intensity 14; hkl 4 2 0, 60.3 deg, intensity 40; hkl 4 2 2, 66.7 deg, intensity 30; hkl 4 4 0, 78.9 deg, intensity 10; hkl 6 0 0, 84.7 deg, intensity 20



Diffraction record for AcHg3Bi3. The powder X-ray diffraction pattern is calculated, not measured: it uses DFT lattice parameters and positions (GGA-PBE) and Cu Kα (weighted mean of Kα1 and Kα2).
No peak broadening, texture or thermal motion is included.

a b c (Å): 8.1957 8.1957 8.1957
angles (deg): 90.00 90.00 90.00
Element x y z (fractional)
Ac 0.0000 0.0000 0.0000
Ac 0.5000 0.5000 0.5000
Hg 0.0000 0.2500 0.5000
Hg 0.0000 0.7500 0.5000
Hg 0.2500 0.5000 0.0000
Hg 0.5000 0.0000 0.2500
Hg 0.5000 0.0000 0.7500
Hg 0.7500 0.5000 0.0000
Bi 0.0000 0.5000 0.2500
Bi 0.0000 0.5000 0.7500
Bi 0.2500 0.0000 0.5000
Bi 0.5000 0.2500 0.0000
Bi 0.5000 0.7500 0.0000
Bi 0.7500 0.0000 0.5000

The 8 most intense peaks (10 to 90 degrees two-theta), in order of rising 2θ:
hkl 2 0 0, 21.7 deg, intensity 41; hkl 2 1 1, 26.6 deg, intensity 100; hkl 2 2 2, 38.0 deg, intensity 34; hkl 3 2 1, 41.2 deg, intensity 64; hkl 4 0 0, 44.2 deg, intensity 35; hkl 5 2 1, 62.0 deg, intensity 20; hkl 4 4 0, 64.3 deg, intensity 23; hkl 6 1 1, 70.9 deg, intensity 20



Diffraction record for Ac2Hg2BiO2. The powder X-ray diffraction pattern is calculated, not measured: it uses DFT lattice parameters and positions (GGA-PBE) and Cu Kα (weighted mean of Kα1 and Kα2).
No peak broadening, texture or thermal motion is included.

a b c (Å): 4.1088 4.1088 14.3535
angles (deg): 90.00 90.00 120.00
Element x y z (fractional)
Ac 0.3333 0.6667 0.1128
Ac 0.6667 0.3333 0.8872
Hg 0.0000 0.0000 0.2939
Hg 0.0000 0.0000 0.7061
Bi 0.0000 0.0000 0.5000
O 0.3333 0.6667 0.9354
O 0.6667 0.3333 0.0646

The 8 most intense peaks (10 to 90 degrees two-theta), in order of rising 2θ:
hkl 1 0 0, 25.0 deg, intensity 24; hkl 1 0 1, 25.8 deg, intensity 100; hkl 1 0 2, 28.0 deg, intensity 42; hkl 0 0 5, 31.2 deg, intensity 36; hkl 0 1 3, 31.3 deg, intensity 26; hkl 0 1 4, 35.5 deg, intensity 53; hkl 1 1 0, 44.1 deg, intensity 48; hkl 1 1 5, 55.0 deg, intensity 44